No. 1
For GdDyTe2As2, a PBE-relaxed structure gives the theoretical powder X-ray diffraction pattern in this record (a wavelength of 1.5418 Å).
No peak broadening, texture or thermal motion is included.

Principal peaks in the range 2θ = 5–70°, by intensity:
d [Å]  I (rel.)
2.439  100
2.755  35
3.040  34
2.044  33
2.891  29
1.566  26
1.696  17
1.664  16
3.730  13
1.445  11
4.554  7
1.792  3

Atomic structure:
```
GdDyTe2As2
1.0
4.088 0.000 0.000
0.000 4.088 0.000
0.000 0.000 9.109
Gd Dy Te As
1 1 2 2
Direct
0.000 0.000 0.000
0.500 0.500 0.507
0.000 0.000 0.627
0.500 0.500 0.877
0.000 0.500 0.255
0.500 0.000 0.255
```

---

No. 2
For Sc4Tl2In3Ni2, a PBE-relaxed structure gives the theoretical powder X-ray diffraction pattern in this record (a wavelength of 1.5418 Å).
No peak broadening, texture or thermal motion is included.

Principal peaks in the range 2θ = 5–70°, by intensity:
d [Å]  I (rel.)
3.341  100
2.503  87
2.496  68
2.758  60
2.477  54
2.584  53
2.281  47
2.375  41
2.258  40
2.126  40
7.506  38
1.884  37

Atomic structure:
```
Sc4Tl2In3Ni2
1.0
7.532 0.000 0.000
0.000 3.341 0.000
-0.772 0.000 9.194
Sc Tl In Ni
4 2 3 2
Direct
0.185 0.000 0.341
0.199 0.000 0.936
0.801 0.000 0.064
0.815 0.000 0.659
0.457 0.500 0.167
0.543 0.500 0.833
0.151 0.500 0.640
0.500 0.500 0.500
0.849 0.500 0.360
0.069 0.500 0.132
0.931 0.500 0.868
```

---

No. 3
For Ag3Br4, a PBE-relaxed structure gives the theoretical powder X-ray diffraction pattern in this record (a wavelength of 1.5418 Å).
No peak broadening, texture or thermal motion is included.

Principal peaks in the range 2θ = 5–70°, by intensity:
d [Å]  I (rel.)
2.108  100
2.782  50
3.231  37
3.377  35
3.415  31
2.456  21
1.988  21
3.770  20
4.216  20
1.947  20
3.788  19
2.160  14

Atomic structure:
```
Ag3Br4
1.0
-3.895 3.975 6.462
3.895 -3.975 6.462
3.895 3.975 -6.462
Ag Br
6 8
Direct
0.000 0.000 0.000
0.000 0.000 0.500
0.000 0.500 0.000
0.376 0.626 0.750
0.500 0.000 0.500
0.624 0.374 0.250
0.232 0.244 0.988
0.243 0.231 0.488
0.243 0.754 0.012
0.244 0.756 0.488
0.756 0.244 0.512
0.757 0.246 0.988
0.757 0.769 0.512
0.768 0.756 0.012
```

---

No. 4
For W4AuC2S, a PBE-relaxed structure gives the theoretical powder X-ray diffraction pattern in this record (a wavelength of 1.5418 Å).
No peak broadening, texture or thermal motion is included.

Principal peaks in the range 2θ = 5–70°, by intensity:
d [Å]  I (rel.)
2.294  100
2.718  28
1.569  22
2.139  15
12.836  14
1.681  12
2.503  12
1.382  9
2.567  7
6.418  5
1.866  4
2.659  4

Atomic structure:
```
W4AuC2S
1.0
3.139 0.000 0.000
-1.569 2.718 0.000
0.000 0.000 12.836
W Au C S
4 1 2 1
Direct
0.000 0.000 0.149
0.000 0.000 0.851
0.333 0.667 0.323
0.333 0.667 0.677
0.000 0.000 0.500
0.667 0.333 0.239
0.667 0.333 0.761
0.333 0.667 0.000
```

---

No. 5
For Cu7Ag3, a PBE-relaxed structure gives the theoretical powder X-ray diffraction pattern in this record (a wavelength of 1.5418 Å).
No peak broadening, texture or thermal motion is included.

Principal peaks in the range 2θ = 5–70°, by intensity:
d [Å]  I (rel.)
2.221  100
1.903  58
2.130  25
1.368  19
2.365  5
5.326  4
3.550  3
2.004  2
1.396  2
10.651  2
2.271  2
2.663  2

Atomic structure:
```
Cu7Ag3
1.0
1.368 0.790 21.302
-1.368 0.790 21.302
0.000 -1.579 21.302
Cu Ag
7 3
Direct
0.000 0.000 0.000
0.092 0.092 0.092
0.395 0.395 0.395
0.496 0.496 0.496
0.596 0.596 0.596
0.697 0.697 0.697
0.899 0.899 0.899
0.197 0.197 0.197
0.298 0.298 0.298
0.794 0.794 0.794
```

---

No. 6
For Li2InAg2GeAu2, a PBE-relaxed structure gives the theoretical powder X-ray diffraction pattern in this record (a wavelength of 1.5418 Å).
No peak broadening, texture or thermal motion is included.

Principal peaks in the range 2θ = 5–70°, by intensity:
d [Å]  I (rel.)
2.303  100
3.257  33
3.761  22
1.629  17
1.964  12
1.457  12
1.881  9
1.495  5
2.914  2
1.580  1
2.171  1
4.608  1

Atomic structure:
```
Li2InAg2GeAu2
1.0
4.608 0.000 0.000
0.000 4.608 0.000
0.000 0.000 6.513
Li In Ag Ge Au
2 1 2 1 2
Direct
0.000 0.000 0.000
0.500 0.500 0.500
0.000 0.000 0.500
0.000 0.500 0.763
0.500 0.000 0.237
0.500 0.500 0.000
0.000 0.500 0.238
0.500 0.000 0.762
```

---

No. 7
For Ta4SiC2S, a PBE-relaxed structure gives the theoretical powder X-ray diffraction pattern in this record (a wavelength of 1.5418 Å).
No peak broadening, texture or thermal motion is included.

Principal peaks in the range 2θ = 5–70°, by intensity:
d [Å]  I (rel.)
2.306  100
2.757  34
2.834  28
1.636  26
5.953  18
2.976  16
1.458  14
1.434  11
2.052  11
1.984  11
1.625  10
1.407  5

Atomic structure:
```
Ta4SiC2S
1.0
3.272 0.000 0.000
-1.636 2.834 0.000
0.000 0.000 11.905
Ta Si C S
4 1 2 1
Direct
0.000 0.000 0.150
0.000 0.000 0.850
0.333 0.667 0.343
0.333 0.667 0.657
0.000 0.000 0.500
0.667 0.333 0.246
0.667 0.333 0.754
0.333 0.667 0.000
```

---

No. 8
For KNd3Te8, a PBE-relaxed structure gives the theoretical powder X-ray diffraction pattern in this record (a wavelength of 1.5418 Å).
No peak broadening, texture or thermal motion is included.

Principal peaks in the range 2θ = 5–70°, by intensity:
d [Å]  I (rel.)
14.257  100
2.967  88
2.955  80
2.746  55
2.256  53
2.483  47
3.564  42
2.467  41
2.155  39
3.097  39
1.558  32
7.129  25

Atomic structure:
```
KNd3Te8
1.0
14.458 0.000 0.000
0.000 12.931 0.000
-1.497 0.000 8.897
K Nd Te
4 12 32
Direct
0.036 0.094 0.254
0.036 0.406 0.754
0.964 0.594 0.246
0.964 0.906 0.746
0.348 0.750 0.084
0.348 0.750 0.584
0.351 0.085 0.077
0.351 0.415 0.577
0.353 0.084 0.592
0.353 0.416 0.092
0.647 0.584 0.908
0.647 0.916 0.408
0.649 0.585 0.423
0.649 0.915 0.923
0.652 0.250 0.416
0.652 0.250 0.916
0.168 0.731 0.785
0.168 0.769 0.285
0.173 0.580 0.548
0.173 0.920 0.048
0.174 0.580 0.026
0.174 0.920 0.526
0.176 0.095 0.787
0.176 0.405 0.287
0.178 0.250 0.037
0.178 0.250 0.537
0.415 0.580 0.850
0.415 0.920 0.350
0.417 0.585 0.355
0.417 0.915 0.855
0.420 0.246 0.353
0.420 0.254 0.853
0.580 0.746 0.147
0.580 0.754 0.647
0.583 0.085 0.145
0.583 0.415 0.645
0.585 0.080 0.650
0.585 0.420 0.150
0.822 0.750 0.463
0.822 0.750 0.963
0.824 0.595 0.713
0.824 0.905 0.213
0.826 0.080 0.474
0.826 0.420 0.974
0.827 0.080 0.952
0.827 0.420 0.452
0.832 0.231 0.715
0.832 0.269 0.215
```

---

No. 9
For Si17Ge13PIr, a PBE-relaxed structure gives the theoretical powder X-ray diffraction pattern in this record (a wavelength of 1.5418 Å).
No peak broadening, texture or thermal motion is included.

Principal peaks in the range 2θ = 5–70°, by intensity:
d [Å]  I (rel.)
3.210  100
3.194  57
3.224  51
1.973  48
1.964  47
1.959  46
1.678  44
7.852  35
1.671  19
1.673  16
2.963  15
1.389  15

Atomic structure:
```
Si17Ge13PIr
1.0
5.567 0.000 0.000
0.000 3.929 0.000
-0.314 0.000 31.409
Si Ge P Ir
17 13 1 1
Direct
0.000 0.000 0.000
0.000 0.000 0.748
0.002 0.000 0.250
0.240 0.000 0.312
0.246 0.000 0.688
0.247 0.000 0.188
0.249 0.000 0.940
0.259 0.000 0.440
0.264 0.000 0.568
0.487 0.500 0.685
0.488 0.500 0.938
0.490 0.500 0.187
0.501 0.500 0.442
0.715 0.500 0.621
0.738 0.500 0.878
0.748 0.500 0.128
0.989 0.000 0.128
0.004 0.000 0.503
0.008 0.000 0.377
0.236 0.000 0.065
0.238 0.000 0.813
0.490 0.500 0.313
0.500 0.500 0.065
0.500 0.500 0.813
0.744 0.500 0.379
0.749 0.500 0.000
0.749 0.500 0.748
0.750 0.500 0.249
0.975 0.000 0.626
0.988 0.000 0.878
0.739 0.500 0.503
0.479 0.500 0.560
```

---

No. 10
For Pr3Si2ClO8, a PBE-relaxed structure gives the theoretical powder X-ray diffraction pattern in this record (a wavelength of 1.5418 Å).
No peak broadening, texture or thermal motion is included.

Principal peaks in the range 2θ = 5–70°, by intensity:
d [Å]  I (rel.)
3.017  100
3.781  84
2.952  71
4.357  69
1.999  61
3.327  57
3.478  56
2.084  56
2.701  55
2.347  47
2.337  43
1.877  41

Atomic structure:
```
Pr3Si2ClO8
1.0
7.090 -3.215 0.000
7.090 3.215 0.000
-1.299 0.000 8.714
Pr Si Cl O
6 4 2 16
Direct
0.075 0.925 0.750
0.211 0.419 0.330
0.419 0.211 0.830
0.581 0.789 0.170
0.789 0.581 0.670
0.925 0.075 0.250
0.104 0.212 0.025
0.212 0.104 0.525
0.788 0.896 0.475
0.896 0.788 0.975
0.474 0.526 0.250
0.526 0.474 0.750
0.041 0.268 0.845
0.052 0.795 0.469
0.096 0.619 0.855
0.204 0.320 0.582
0.205 0.948 0.031
0.268 0.041 0.345
0.320 0.204 0.082
0.381 0.904 0.645
0.619 0.096 0.355
0.680 0.796 0.918
0.732 0.959 0.655
0.795 0.052 0.969
0.796 0.680 0.418
0.904 0.381 0.145
0.948 0.205 0.531
0.959 0.732 0.155
```

---

No. 11
For Sc2TeIr, a PBE-relaxed structure gives the theoretical powder X-ray diffraction pattern in this record (a wavelength of 1.5418 Å).
No peak broadening, texture or thermal motion is included.

Principal peaks in the range 2θ = 5–70°, by intensity:
d [Å]  I (rel.)
2.391  100
3.905  39
1.381  34
2.039  22
1.691  17
1.552  9
3.382  3
1.512  1
1.952  1

Atomic structure:
```
Sc2TeIr
1.0
0.000 3.382 3.382
3.382 0.000 3.382
3.382 3.382 0.000
Sc Te Ir
2 1 1
Direct
0.000 0.000 0.000
0.250 0.250 0.250
0.500 0.500 0.500
0.750 0.750 0.750
```

---

No. 12
For LiHoTe3Pd, a PBE-relaxed structure gives the theoretical powder X-ray diffraction pattern in this record (a wavelength of 1.5418 Å).
No peak broadening, texture or thermal motion is included.

Principal peaks in the range 2θ = 5–70°, by intensity:
d [Å]  I (rel.)
2.732  100
7.753  97
2.233  54
3.078  50
3.751  36
2.094  26
3.096  23
1.731  19
1.938  17
2.583  17
2.393  16
2.136  15

Atomic structure:
```
LiHoTe3Pd
1.0
2.094 -7.753 0.000
2.094 7.753 0.000
0.000 0.000 10.061
Li Ho Te Pd
2 2 6 2
Direct
0.228 0.772 0.750
0.772 0.228 0.250
0.000 0.000 0.000
0.000 0.000 0.500
0.115 0.885 0.250
0.364 0.636 0.087
0.364 0.636 0.413
0.636 0.364 0.587
0.636 0.364 0.913
0.885 0.115 0.750
0.500 0.500 0.250
0.500 0.500 0.750
```

---

- What is the formula in the second record?
  Sc4Tl2In3Ni2

---

Repeat the third record exactly.
For Ag3Br4, a PBE-relaxed structure gives the theoretical powder X-ray diffraction pattern in this record (a wavelength of 1.5418 Å).
No peak broadening, texture or thermal motion is included.

Principal peaks in the range 2θ = 5–70°, by intensity:
d [Å]  I (rel.)
2.108  100
2.782  50
3.231  37
3.377  35
3.415  31
2.456  21
1.988  21
3.770  20
4.216  20
1.947  20
3.788  19
2.160  14

Atomic structure:
```
Ag3Br4
1.0
-3.895 3.975 6.462
3.895 -3.975 6.462
3.895 3.975 -6.462
Ag Br
6 8
Direct
0.000 0.000 0.000
0.000 0.000 0.500
0.000 0.500 0.000
0.376 0.626 0.750
0.500 0.000 0.500
0.624 0.374 0.250
0.232 0.244 0.988
0.243 0.231 0.488
0.243 0.754 0.012
0.244 0.756 0.488
0.756 0.244 0.512
0.757 0.246 0.988
0.757 0.769 0.512
0.768 0.756 0.012
```